The following is a calculated PXRD pattern of Li9Mn2Co5O16. It was derived from a cell relaxed with GGA+U, using Cu Ka.

Structural model:
```
data_Li9Mn2Co5O16
_chemical_formula_sum 'Li9 Mn2 Co5 O16'
_cell_length_a 9.750
_cell_length_b 2.879
_cell_length_c 10.353
_cell_angle_alpha 90.00
_cell_angle_beta 98.67
_cell_angle_gamma 90.00
_space_group_name_H-M_alt 'P 1 m 1'
_space_group_IT_number 6
_space_group_name_Hall 'P -2y'
loop_
_atom_site_label
_atom_site_type_symbol
_atom_site_fract_x
_atom_site_fract_y
_atom_site_fract_z
Li1 Li 0.000 0.000 0.000
Li2 Li 0.001 0.000 0.503
Li3 Li 0.244 0.500 0.634
Li4 Li 0.246 0.500 0.122
Li5 Li 0.475 0.000 0.230
Li6 Li 0.488 0.000 0.766
Li7 Li 0.492 0.500 0.998
Li8 Li 0.734 0.500 0.882
Li9 Li 0.737 0.500 0.369
Mn1 Mn 0.734 0.000 0.115
Mn2 Mn 0.742 0.000 0.625
Co1 Co 0.000 0.500 0.753
Co2 Co 0.239 0.000 0.376
Co3 Co 0.260 0.000 0.895
Co4 Co 0.487 0.500 0.498
Co5 Co 0.987 0.500 0.251
O1 O 0.100 0.000 0.200
O2 O 0.104 0.000 0.694
O3 O 0.120 0.500 0.930
O4 O 0.121 0.500 0.435
O5 O 0.356 0.500 0.315
O6 O 0.357 0.500 0.814
O7 O 0.359 0.000 0.057
O8 O 0.374 0.000 0.552
O9 O 0.615 0.000 0.458
O10 O 0.629 0.000 0.953
O11 O 0.632 0.500 0.183
O12 O 0.636 0.500 0.686
O13 O 0.848 0.500 0.563
O14 O 0.853 0.500 0.067
O15 O 0.869 0.000 0.295
O16 O 0.877 0.000 0.790
```

Main lines, low angle first (15° ≤ 2θ ≤ 90°):
index	2θ (°)	I/Imax
1 0 -2	18.4	100
3 0 2	35.1	15
2 1 0	36.3	24
2 0 4	42.4	28
3 1 -2	44.1	51
1 1 -6	62.8	14